1.
This entry pairs a crystal structure of K3Ru with its computed XRD peak list. Radiation: Cu Kα, 1.54184 Å. Structure: the GGA-PBE geometry in the Materials Project.
No peak broadening, texture or thermal motion is included.

```
K3Ru
1.0
-2.9531 2.9531 4.4335
2.9531 -2.9531 4.4335
2.9531 2.9531 -4.4335
K Ru
3 1
Cartesian
0.0000 0.0000 0.0000
2.9531 0.0000 2.2167
0.0000 2.9531 2.2167
0.0000 0.0000 4.4335
```

Top 6 peaks for 2θ from 5° to 70°, most intense first:
Position (°2θ)  I/Imax
29.38  100
30.27  46
53.22  33
18.05  24
51.55  19
43.33  16

2.
This entry pairs a crystal structure of K3Ru with its computed XRD peak list. Radiation: Cu Kα, 1.54184 Å. Structure: the GGA-PBE geometry in the Materials Project.
No peak broadening, texture or thermal motion is included.

```
K3Ru
1.0
0.0000 4.2568 4.2568
4.2568 0.0000 4.2568
4.2568 4.2568 0.0000
K Ru
3 1
Cartesian
0.0000 0.0000 0.0000
2.1284 2.1284 2.1284
6.3852 6.3852 6.3852
4.2568 4.2568 4.2568
```

Top 6 peaks for 2θ from 5° to 70°, most intense first:
Position (°2θ)  I/Imax
29.68  100
52.67  36
42.47  18
18.05  16
69.88  14
61.63  11

3.
This entry pairs a crystal structure of K2S with its computed XRD peak list. Radiation: Cu Kα, 1.54184 Å. Structure: the GGA-PBE geometry in the Materials Project.
No peak broadening, texture or thermal motion is included.

```
K2S
1.0
0.0000 3.7323 3.7323
3.7323 0.0000 3.7323
3.7323 3.7323 0.0000
K S
2 1
Cartesian
1.8661 1.8661 1.8661
5.5984 5.5984 5.5984
0.0000 0.0000 0.0000
```

Top 6 peaks for 2θ from 5° to 70°, most intense first:
Position (°2θ)  I/Imax
33.97  100
60.79  30
23.84  23
20.61  23
48.80  16
40.06  10